# 1
Calculated PXRD pattern of Tb2MgNi2 for Cu Kα, 1.54184 Å, from a structure optimized by DFT (PBE).

Crystal structure
Cell lengths 7.2849, 7.2849, 3.7654 Å; angles 90.00, 90.00, 90.00 degrees
Atoms (fractional coordinates):
Tb (0.1742, 0.3258, 0.0000)
Tb (0.3258, 0.8258, 0.0000)
Tb (0.6742, 0.1742, 0.0000)
Tb (0.8258, 0.6742, 0.0000)
Mg (0.0000, 0.0000, 0.5000)
Mg (0.5000, 0.5000, 0.5000)
Ni (0.1191, 0.6191, 0.5000)
Ni (0.3809, 0.1191, 0.5000)
Ni (0.6191, 0.8809, 0.5000)
Ni (0.8809, 0.3809, 0.5000)

Most intense lines, 10° ≤ 2θ ≤ 80°, most intense first:
| two_theta | intensity |
| --- | --- |
| 36.47 | 100 |
| 34.25 | 28 |
| 39.10 | 21 |
| 27.38 | 20 |
| 17.21 | 20 |
| 57.63 | 17 |
| 51.73 | 16 |
| 24.44 | 15 |
| 48.34 | 12 |
| 73.51 | 11 |

***

# 2
Calculated PXRD pattern of Mg6TiNi for Cu Kα, 1.54184 Å, from a structure optimized by DFT (PBE).

Crystal structure
Cell lengths 4.8221, 5.9099, 10.9893 Å; angles 90.00, 90.00, 90.00 degrees
Atoms (fractional coordinates):
Mg (0.0000, 0.0000, 0.0000)
Mg (0.0000, 0.0000, 0.4833)
Mg (0.0000, 0.2473, 0.2570)
Mg (0.0000, 0.2527, 0.7570)
Mg (0.0000, 0.5000, 0.5000)
Mg (0.0000, 0.5000, 0.9833)
Mg (0.0000, 0.7473, 0.7570)
Mg (0.0000, 0.7527, 0.2570)
Mg (0.5000, 0.2466, 0.0981)
Mg (0.5000, 0.2534, 0.5981)
Mg (0.5000, 0.7466, 0.5981)
Mg (0.5000, 0.7534, 0.0981)
Ti (0.5000, 0.0000, 0.8499)
Ti (0.5000, 0.5000, 0.3499)
Ni (0.5000, 0.0000, 0.3323)
Ni (0.5000, 0.5000, 0.8323)

Most intense lines, 10° ≤ 2θ ≤ 80°, most intense first:
| two_theta | intensity |
| --- | --- |
| 39.34 | 100 |
| 37.68 | 66 |
| 37.30 | 42 |
| 34.46 | 35 |
| 16.13 | 24 |
| 51.68 | 21 |
| 72.24 | 18 |
| 68.63 | 18 |
| 59.37 | 17 |
| 75.71 | 16 |

***

# 3
Calculated PXRD pattern of Mg6TiNi for Cu Kα, 1.54184 Å, from a structure optimized by DFT (PBE).

Crystal structure
Cell lengths 4.7611, 6.0252, 10.8965 Å; angles 90.00, 90.00, 90.00 degrees
Atoms (fractional coordinates):
Mg (0.0000, 0.0000, 0.0000)
Mg (0.0000, 0.2411, 0.2562)
Mg (0.0000, 0.2589, 0.7562)
Mg (0.0000, 0.5000, 0.5000)
Mg (0.0000, 0.7411, 0.7562)
Mg (0.0000, 0.7589, 0.2562)
Mg (0.5000, 0.0000, 0.8397)
Mg (0.5000, 0.2423, 0.5942)
Mg (0.5000, 0.2577, 0.0942)
Mg (0.5000, 0.5000, 0.3397)
Mg (0.5000, 0.7423, 0.0942)
Mg (0.5000, 0.7577, 0.5942)
Ti (0.5000, 0.0000, 0.3619)
Ti (0.5000, 0.5000, 0.8619)
Ni (0.0000, 0.0000, 0.4746)
Ni (0.0000, 0.5000, 0.9746)

Most intense lines, 10° ≤ 2θ ≤ 80°, most intense first:
| two_theta | intensity |
| --- | --- |
| 39.05 | 100 |
| 38.06 | 80 |
| 34.00 | 50 |
| 37.79 | 47 |
| 16.81 | 42 |
| 51.74 | 29 |
| 16.27 | 20 |
| 74.72 | 19 |
| 69.08 | 17 |
| 72.61 | 15 |

***

# 4
Calculated PXRD pattern of Mg14TiNi for Cu Kα, 1.54184 Å, from a structure optimized by DFT (PBE).

Crystal structure
Cell lengths 6.2633, 6.2633, 9.9757 Å; angles 90.00, 90.00, 120.00 degrees
Atoms (fractional coordinates):
Mg (0.0000, 0.0000, 0.2452)
Mg (0.0000, 0.0000, 0.7548)
Mg (0.0169, 0.5084, 0.2574)
Mg (0.0169, 0.5084, 0.7426)
Mg (0.3305, 0.1652, 0.5000)
Mg (0.3403, 0.1701, 0.0000)
Mg (0.4916, 0.5084, 0.2574)
Mg (0.4916, 0.5084, 0.7426)
Mg (0.4916, 0.9831, 0.2574)
Mg (0.4916, 0.9831, 0.7426)
Mg (0.8299, 0.1701, 0.0000)
Mg (0.8299, 0.6597, 0.0000)
Mg (0.8348, 0.1652, 0.5000)
Mg (0.8348, 0.6695, 0.5000)
Ti (0.3333, 0.6667, 0.0000)
Ni (0.3333, 0.6667, 0.5000)

Most intense lines, 10° ≤ 2θ ≤ 80°, most intense first:
| two_theta | intensity |
| --- | --- |
| 37.76 | 100 |
| 33.03 | 26 |
| 36.01 | 25 |
| 71.09 | 18 |
| 65.90 | 17 |
| 58.99 | 17 |
| 49.66 | 15 |
| 72.19 | 13 |
| 16.34 | 13 |
| 24.24 | 5 |

***

# 5
Calculated PXRD pattern of Mg14TiNi for Cu Kα, 1.54184 Å, from a structure optimized by DFT (PBE).

Crystal structure
Cell lengths 9.9713, 6.2880, 6.2880 Å; angles 58.82, 90.00, 90.00 degrees
Atoms (fractional coordinates):
Mg (0.0000, 0.0000, 0.0000)
Mg (0.0000, 0.0039, 0.4991)
Mg (0.0000, 0.4982, 0.4982)
Mg (0.0000, 0.4991, 0.0039)
Mg (0.2494, 0.6632, 0.6632)
Mg (0.2662, 0.1667, 0.6726)
Mg (0.2662, 0.6726, 0.1667)
Mg (0.2673, 0.1586, 0.1586)
Mg (0.5000, 0.5113, 0.9946)
Mg (0.5000, 0.9946, 0.5113)
Mg (0.7327, 0.1586, 0.1586)
Mg (0.7338, 0.1667, 0.6726)
Mg (0.7338, 0.6726, 0.1667)
Mg (0.7506, 0.6632, 0.6632)
Ti (0.5000, 0.5085, 0.5085)
Ni (0.5000, 0.9975, 0.9975)

Most intense lines, 10° ≤ 2θ ≤ 80°, most intense first:
| two_theta | intensity |
| --- | --- |
| 38.01 | 100 |
| 37.47 | 55 |
| 36.03 | 38 |
| 33.31 | 28 |
| 70.88 | 18 |
| 58.75 | 18 |
| 49.88 | 17 |
| 66.09 | 16 |
| 72.84 | 14 |
| 32.70 | 12 |

***

# 6
Calculated PXRD pattern of Tm4MgNi for Cu Kα, 1.54184 Å, from a structure optimized by DFT (PBE).

Crystal structure
Cell lengths 9.4673, 9.4673, 9.4673 Å; angles 60.00, 60.00, 60.00 degrees
Atoms (fractional coordinates):
Tm (0.1853, 0.1853, 0.8147)
Tm (0.1853, 0.8147, 0.1853)
Tm (0.1853, 0.8147, 0.8147)
Tm (0.4032, 0.4032, 0.4032)
Tm (0.4032, 0.4032, 0.7904)
Tm (0.4032, 0.7904, 0.4032)
Tm (0.5637, 0.5637, 0.9363)
Tm (0.5637, 0.9363, 0.5637)
Tm (0.5637, 0.9363, 0.9363)
Tm (0.7904, 0.4032, 0.4032)
Tm (0.8147, 0.1853, 0.1853)
Tm (0.8147, 0.1853, 0.8147)
Tm (0.8147, 0.8147, 0.1853)
Tm (0.9363, 0.5637, 0.5637)
Tm (0.9363, 0.5637, 0.9363)
Tm (0.9363, 0.9363, 0.5637)
Mg (0.1702, 0.1702, 0.1702)
Mg (0.1702, 0.1702, 0.4894)
Mg (0.1702, 0.4894, 0.1702)
Mg (0.4894, 0.1702, 0.1702)
Ni (0.1770, 0.6077, 0.6077)
Ni (0.6077, 0.1770, 0.6077)
Ni (0.6077, 0.6077, 0.1770)
Ni (0.6077, 0.6077, 0.6077)

Most intense lines, 10° ≤ 2θ ≤ 80°, most intense first:
| two_theta | intensity |
| --- | --- |
| 34.82 | 100 |
| 32.77 | 65 |
| 29.07 | 58 |
| 58.49 | 58 |
| 38.02 | 28 |
| 56.24 | 20 |
| 11.45 | 16 |
| 59.82 | 15 |
| 69.91 | 13 |
| 48.56 | 11 |